Structure and calculated X-ray diffraction stick pattern of Ce2HoReN5 (a crystal structure in Alexandria, relaxed with GGA-PBE; Cu Kα, 1.54184 Å).
Kinematic intensities with the Lorentz-polarization factor, no thermal factor.

Largest 10 diffraction maxima, in order of falling intensity, 2θ from 10° to 90°:
Position (°2θ)  I/Imax  hkl
31.28  100.0  2 0 2
30.87  30.5  0 0 4
38.46  22.6  2 1 3
38.70  19.6  2 2 0
50.30  17.4  2 2 4
55.14  17.3  2 0 6
58.33  16.2  4 0 2
71.98  10.3  4 2 4
41.84  9.6  2 2 2
63.19  8.3  4 2 0

Cell and atoms:
Cell lengths 6.5802, 6.5802, 11.5881 Å; angles 90.00, 90.00, 90.00 degrees
Space group I4/mcm (No. 140)
Asymmetric unit:
Ce (0.1720, 0.3280, 0.0000)
Ho (0.0000, 0.0000, 0.2500)
Re (0.0000, 0.5000, 0.2500)
N (0.0000, 0.0000, 0.0000)
N (0.1547, 0.3453, 0.3545)